Record 1
This entry pairs a crystal structure of ZrHIr3 with its calculated PXRD pattern. Radiation: Cu Kα, 1.54184 Å. Structure: the PBE geometry in Alexandria.
Intensities are scaled so that the largest is 100.

Structural model:
Cell: 5.7505 5.7505 13.9281 Å, 90.00 90.00 120.00°
Space group R3m (No. 160, hexagonal axes)
Unique sites:
Zr 0.0000 0.0000 0.0000
Zr 0.0000 0.0000 0.4987
H 0.0000 0.0000 0.1560
H 0.0000 0.0000 0.2977
Ir 0.0192 0.5096 0.5003
Ir 0.1726 0.3452 0.3332

Principal peaks in the range 2θ = 5–70°, in order of rising 2θ:
hkl  Position (°2θ)  d/Å  I (rel.)
0 1 2  21.94  4.051  9
1 1 0  31.11  2.875  3
1 0 4  31.35  2.854  4
2 0 2  38.39  2.345  100
0 0 6  38.79  2.321  33
0 2 4  44.74  2.025  65
1 2 2  50.21  1.817  2
1 1 6  50.53  1.806  2
2 2 0  64.86  1.438  21
2 0 8  65.41  1.427  21

---

Record 2
This entry pairs a crystal structure of Nd4NiHg2 with its calculated PXRD pattern. Radiation: Cu Kα, 1.54184 Å. Structure: the PBE geometry in Alexandria.
Intensities are scaled so that the largest is 100.

Structural model:
Cell: 5.291 5.291 15.549 Å, 90.00 90.00 90.00°
Space group I4/mmm (No. 139)
Unique sites:
Nd 0.000 0.000 0.183
Nd 0.000 0.500 0.000
Ni 0.000 0.000 0.000
Hg 0.000 0.000 0.377

Principal peaks in the range 2θ = 5–70°, in order of rising 2θ:
hkl  Position (°2θ)  d/Å  I (rel.)
0 0 2  11.38  7.774  19
1 1 0  23.78  3.741  49
1 1 2  26.44  3.371  57
1 1 4  33.24  2.696  84
1 0 5  33.42  2.681  72
2 0 0  33.88  2.646  100
2 1 5  48.33  1.883  51
2 2 0  48.67  1.871  36
2 0 6  49.22  1.851  20
3 1 4  60.21  1.537  31

---

Record 3
This entry pairs a crystal structure of Sc2TaTe6 with its calculated PXRD pattern. Radiation: Cu Kα, 1.54184 Å. Structure: the PBE geometry in Alexandria.
Intensities are scaled so that the largest is 100.

Structural model:
Cell: 6.901 7.473 11.809 Å, 90.00 124.39 90.00°
Space group P2_1/c (No. 14)
Unique sites:
Sc 0.216 0.138 0.258
Ta 0.000 0.000 0.500
Te 0.088 0.168 0.929
Te 0.266 0.679 0.924
Te 0.419 0.026 0.760

Principal peaks in the range 2θ = 5–70°, in order of rising 2θ:
hkl  Position (°2θ)  d/Å  I (rel.)
0 1 1  14.94  5.930  18
2 1 -2  28.50  3.131  31
1 2 -2  28.77  3.103  41
1 0 2  30.14  2.965  100
1 1 -4  33.03  2.712  24
1 3 -1  38.42  2.343  32
3 1 -1  44.85  2.021  18
3 1 -5  45.67  1.986  19
1 4 -1  50.64  1.803  16
2 3 1  53.06  1.726  20

---

Record 4
This entry pairs a crystal structure of YGaAg2S4 with its calculated PXRD pattern. Radiation: Cu Kα, 1.54184 Å. Structure: the PBE geometry in Alexandria.
Intensities are scaled so that the largest is 100.

Structural model:
Cell: 7.571 7.855 7.863 Å, 103.17 110.42 112.68°
Space group P1 (No. 1)
Unique sites:
Y 0.000 0.000 0.000
Y 0.475 0.488 0.465
Ga 0.050 0.956 0.544
Ga 0.587 0.987 0.598
Ag 0.097 0.590 0.198
Ag 0.350 0.829 0.984
Ag 0.613 0.404 0.023
Ag 0.847 0.352 0.468
S 0.043 0.292 0.281
S 0.430 0.186 0.651
S 0.447 0.200 0.184
S 0.495 0.762 0.297
S 0.549 0.798 0.783
S 0.900 0.776 0.204
S 0.968 0.718 0.680
S 0.970 0.184 0.717

Principal peaks in the range 2θ = 5–70°, in order of rising 2θ:
hkl  Position (°2θ)  d/Å  I (rel.)
0 1 1  22.57  3.939  52
-2 1 1  24.10  3.693  59
1 1 -2  25.02  3.558  53
-1 2 1  28.91  3.088  68
0 2 -2  29.01  3.078  100
2 0 0  29.26  3.052  44
2 -1 1  32.34  2.768  95
-2 2 2  36.90  2.436  35
1 1 2  45.37  1.999  33
2 -3 3  53.07  1.726  38

---

Record 5
This entry pairs a crystal structure of Pm2HoGa with its calculated PXRD pattern. Radiation: Cu Kα, 1.54184 Å. Structure: the PBE geometry in Alexandria.
Intensities are scaled so that the largest is 100.

Structural model:
Cell: 7.636 7.636 7.636 Å, 90.00 90.00 90.00°
Space group Fm-3m (No. 225)
Unique sites:
Pm 0.250 0.250 0.250
Ho 0.000 0.000 0.000
Ga 0.000 0.000 0.500

Principal peaks in the range 2θ = 5–70°, in order of rising 2θ:
hkl  Position (°2θ)  d/Å  I (rel.)
1 1 1  20.14  4.408  6
2 0 0  23.30  3.818  1
2 2 0  33.19  2.700  100
3 1 1  39.13  2.302  4
4 0 0  47.64  1.909  18
3 3 1  52.22  1.752  2
4 2 0  53.68  1.707  1
4 2 2  59.29  1.559  38
5 1 1  63.29  1.469  1
4 4 0  69.66  1.350  12

---

Record 6
This entry pairs a crystal structure of YB3O6 with its calculated PXRD pattern. Radiation: Cu Kα, 1.54184 Å. Structure: the PBE geometry in Alexandria.
Intensities are scaled so that the largest is 100.

Structural model:
Cell: 9.932 8.400 6.139 Å, 90.00 128.09 90.00°
Space group C2/c (No. 15)
Unique sites:
Y 0.000 0.249 0.250
B 0.000 0.249 0.750
B 0.249 0.435 0.119
O 0.098 0.149 0.695
O 0.098 0.349 0.001
O 0.249 0.410 0.563

Principal peaks in the range 2θ = 5–70°, in order of rising 2θ:
hkl  Position (°2θ)  d/Å  I (rel.)
1 1 -1  17.90  4.956  80
0 2 0  21.15  4.200  69
2 0 0  22.75  3.908  31
2 0 -2  29.10  3.069  83
2 2 0  31.26  2.861  100
1 1 -2  33.12  2.705  32
1 3 1  42.35  2.134  54
4 2 -2  43.23  2.093  51
3 1 -3  45.63  1.988  38
3 1 1  50.18  1.818  39

---

Record 7
This entry pairs a crystal structure of Rb2BeI4 with its calculated PXRD pattern. Radiation: Cu Kα, 1.54184 Å. Structure: the PBE geometry in Alexandria.
Intensities are scaled so that the largest is 100.

Structural model:
Cell: 8.601 8.601 12.142 Å, 90.00 90.00 90.00°
Space group I-42m (No. 121)
Unique sites:
Rb 0.000 0.500 0.250
Be 0.000 0.000 0.000
I 0.167 0.167 0.111

Principal peaks in the range 2θ = 5–70°, in order of rising 2θ:
hkl  Position (°2θ)  d/Å  I (rel.)
1 0 1  12.61  7.019  68
1 1 2  20.67  4.297  100
2 1 1  24.28  3.667  54
3 0 1  32.09  2.789  66
3 1 0  32.95  2.719  72
2 0 4  36.22  2.480  27
3 0 3  38.48  2.339  22
3 0 5  49.15  1.854  24
3 3 4  54.43  1.686  22
5 1 2  56.65  1.625  20

---

Record 8
This entry pairs a crystal structure of HSe4 with its calculated PXRD pattern. Radiation: Cu Kα, 1.54184 Å. Structure: the PBE geometry in Alexandria.
Intensities are scaled so that the largest is 100.

Structural model:
Cell: 4.396 4.396 4.396 Å, 90.00 90.00 90.00°
Space group Pm-3m (No. 221)
Unique sites:
H 0.000 0.000 0.000
Se 0.000 0.000 0.500
Se 0.500 0.500 0.500

Principal peaks in the range 2θ = 5–70°, in order of rising 2θ:
hkl  Position (°2θ)  d/Å  I (rel.)
1 1 1  35.36  2.538  100
2 0 0  41.06  2.198  50
2 2 0  59.47  1.554  33

---

Record 9
This entry pairs a crystal structure of SrSi2Au5 with its calculated PXRD pattern. Radiation: Cu Kα, 1.54184 Å. Structure: the PBE geometry in Alexandria.
Intensities are scaled so that the largest is 100.

Structural model:
Cell: 4.427 7.206 10.114 Å, 90.00 90.00 90.00°
Space group Immm (No. 71)
Unique sites:
Sr 0.000 0.000 0.000
Si 0.000 0.500 0.244
Au 0.000 0.201 0.353
Au 0.000 0.500 0.000

Principal peaks in the range 2θ = 5–70°, in order of rising 2θ:
hkl  Position (°2θ)  d/Å  I (rel.)
0 1 1  15.10  5.869  41
0 2 2  30.46  2.934  20
1 2 1  33.26  2.694  89
1 0 3  33.41  2.682  100
2 0 0  40.76  2.214  36
1 3 0  42.83  2.111  32
0 2 4  43.73  2.070  42
0 3 3  46.42  1.956  19
2 2 4  61.32  1.512  27
3 0 3  69.50  1.353  23